Starting from the PBE geometry in the Materials Project, the PXRD pattern of CsGaH4 was simulated for Cu Kα, 1.54184 Å.

Structural model:
a = 10.1964 Å, b = 6.1049 Å, c = 8.1117 Å
α = 90.00°, β = 90.00°, γ = 90.00°
Element x y z (fractional)
Cs 0.1846 0.2500 0.1643
Cs 0.3154 0.7500 0.6643
Cs 0.6846 0.2500 0.3357
Cs 0.8154 0.7500 0.8357
Ga 0.0600 0.2500 0.6963
Ga 0.4400 0.7500 0.1963
Ga 0.5600 0.2500 0.8037
Ga 0.9400 0.7500 0.3037
H 0.0793 0.0381 0.8111
H 0.0793 0.4619 0.8111
H 0.0836 0.7500 0.3793
H 0.1713 0.2500 0.5582
H 0.3287 0.7500 0.0582
H 0.4164 0.2500 0.8793
H 0.4207 0.5381 0.3111
H 0.4207 0.9619 0.3111
H 0.5793 0.0381 0.6889
H 0.5793 0.4619 0.6889
H 0.5836 0.7500 0.1207
H 0.6713 0.2500 0.9418
H 0.8287 0.7500 0.4418
H 0.9164 0.2500 0.6207
H 0.9207 0.5381 0.1889
H 0.9207 0.9619 0.1889

Most intense lines, 2θ from 10° to 90°, by angle:
d = 4.400 Å, intensity 282
d = 4.056 Å, intensity 317
d = 3.913 Å, intensity 859
d = 3.769 Å, intensity 533
d = 3.524 Å, intensity 1000
d = 3.207 Å, intensity 392
d = 3.052 Å, intensity 442
d = 2.816 Å, intensity 241
d = 2.432 Å, intensity 372
d = 2.372 Å, intensity 315
d = 1.902 Å, intensity 339
d = 1.605 Å, intensity 236